Diffraction record for DyCoSi3Ir. The XRD peak list is theoretical, not measured: it uses DFT lattice parameters and positions (GGA-PBE) and Cu Kα (λ = 1.5418 Å).
Peak positions follow from Bragg's law for the DFT cell and can differ from measured ones.

```
data_DyCoSi3Ir
_chemical_formula_sum 'Dy4 Co4 Si12 Ir4'
_cell_length_a 6.129
_cell_length_b 12.690
_cell_length_c 5.537
_cell_angle_alpha 90.00
_cell_angle_beta 90.00
_cell_angle_gamma 90.00
_symmetry_space_group_name_H-M 'C m c m'
_symmetry_Int_Tables_number 63
_symmetry_space_group_name_Hall '-C 2c 2'
loop_
_atom_site_label
_atom_site_type_symbol
_atom_site_fract_x
_atom_site_fract_y
_atom_site_fract_z
_atom_site_occupancy
Dy1 Dy 0.000 0.195 0.250 1
Co1 Co 0.000 0.041 0.750 1
Si1 Si 0.000 0.207 0.750 1
Si2 Si 0.215 0.500 0.000 1
Ir1 Ir 0.000 0.384 0.750 1
```

Largest 10 diffraction maxima, most intense first, 2θ from 5° to 70°:
4.172 Å, I = 100, (0 2 1); 2.947 Å, I = 98, (1 3 1); 2.054 Å, I = 62, (2 0 2); 3.065 Å, I = 60, (2 0 0); 2.470 Å, I = 53, (2 2 1); 1.789 Å, I = 49, (1 5 2); 2.345 Å, I = 49, (1 5 0); 2.768 Å, I = 44, (0 0 2); 1.533 Å, I = 24, (4 0 0); 2.756 Å, I = 22, (0 4 1)


Diffraction record for MgB7. The XRD peak list is theoretical, not measured: it uses DFT lattice parameters and positions (GGA-PBE) and Cu Kα (λ = 1.5418 Å).
Peak positions follow from Bragg's law for the DFT cell and can differ from measured ones.

```
data_MgB7
_chemical_formula_sum 'Mg8 B56'
_cell_length_a 5.972
_cell_length_b 10.466
_cell_length_c 8.109
_cell_angle_alpha 90.00
_cell_angle_beta 90.00
_cell_angle_gamma 90.00
_symmetry_space_group_name_H-M 'I m m a'
_symmetry_Int_Tables_number 74
_symmetry_space_group_name_Hall '-I 2b 2'
loop_
_atom_site_label
_atom_site_type_symbol
_atom_site_fract_x
_atom_site_fract_y
_atom_site_fract_z
_atom_site_occupancy
Mg1 Mg 0.000 0.250 0.136 1
Mg2 Mg 0.250 0.250 0.750 1
B1 B 0.000 0.082 0.676 1
B2 B 0.000 0.141 0.885 1
B3 B 0.000 0.166 0.476 1
B4 B 0.156 0.064 0.337 1
B5 B 0.247 0.078 0.545 1
```

Largest 10 diffraction maxima, most intense first, 2θ from 5° to 70°:
2.185 Å, I = 100, (2 3 1); 2.228 Å, I = 42, (1 2 3); 3.541 Å, I = 33, (1 2 1); 6.410 Å, I = 32, (0 1 1); 2.707 Å, I = 31, (2 1 1); 2.137 Å, I = 31, (0 3 3); 2.418 Å, I = 26, (1 3 2); 1.677 Å, I = 26, (2 0 4); 1.603 Å, I = 21, (0 1 5); 1.744 Å, I = 16, (0 6 0)


Diffraction record for Sm3ErCd2. The XRD peak list is theoretical, not measured: it uses DFT lattice parameters and positions (GGA-PBE) and Cu Kα (λ = 1.5418 Å).
Peak positions follow from Bragg's law for the DFT cell and can differ from measured ones.

```
data_Sm3ErCd2
_chemical_formula_sum 'Sm3 Er1 Cd2'
_cell_length_a 3.726
_cell_length_b 3.726
_cell_length_c 12.690
_cell_angle_alpha 90.00
_cell_angle_beta 90.00
_cell_angle_gamma 90.00
_symmetry_space_group_name_H-M 'P 4/m m m'
_symmetry_Int_Tables_number 123
_symmetry_space_group_name_Hall '-P 4 2'
loop_
_atom_site_label
_atom_site_type_symbol
_atom_site_fract_x
_atom_site_fract_y
_atom_site_fract_z
_atom_site_occupancy
Sm1 Sm 0.000 0.000 0.000 1
Sm2 Sm 0.000 0.000 0.311 1
Er1 Er 0.500 0.500 0.500 1
Cd1 Cd 0.500 0.500 0.156 1
```

Largest 10 diffraction maxima, most intense first, 2θ from 5° to 70°:
2.796 Å, I = 100, (1 0 3); 2.635 Å, I = 46, (1 1 0); 1.550 Å, I = 33, (2 1 3); 1.863 Å, I = 16, (2 0 0); 1.649 Å, I = 16, (1 1 6); 1.398 Å, I = 9, (2 0 6); 2.115 Å, I = 9, (0 0 6); 3.213 Å, I = 5, (1 0 2); 1.828 Å, I = 3, (1 1 5); 2.416 Å, I = 3, (1 0 4)